# 1
Theoretical X-ray diffraction stick pattern of CsSnI3 for Cu Kα X-rays, from the PBE geometry in Alexandria.
Intensities are scaled so that the largest is 100.

Most intense lines, 10 to 80 degrees two-theta, by intensity:
- 24.70°, d 3.604, rel. 100, hkl 2 0 1
- 28.85°, d 3.094, rel. 86, hkl 2 2 0
- 40.70°, d 2.217, rel. 67, hkl 2 2 2
- 28.08°, d 3.177, rel. 63, hkl 0 0 2
- 26.75°, d 3.333, rel. 30, hkl 2 1 1
- 35.37°, d 2.537, rel. 26, hkl 3 1 1
- 50.66°, d 1.802, rel. 24, hkl 4 0 2
- 22.72°, d 3.914, rel. 23, hkl 2 1 0
- 41.26°, d 2.188, rel. 22, hkl 4 0 0
- 20.29°, d 4.376, rel. 22, hkl 2 0 0

Structure:
Unit cell a=8.752 b=8.752 c=6.355 alpha=90.00 beta=90.00 gamma=90.00
Space group P4/mbm (No. 127)
Symmetry-distinct sites (fractional):
Cs  0.000  0.500  0.000
Sn  0.000  0.000  0.500
I  0.000  0.000  0.000
I  0.198  0.302  0.500

# 2
Theoretical X-ray diffraction stick pattern of SmEr7 for Cu Kα X-rays, from the PBE geometry in Alexandria.
Intensities are scaled so that the largest is 100.

Most intense lines, 10 to 80 degrees two-theta, by intensity:
- 32.12°, d 2.786, rel. 100, hkl 0 2 4
- 31.08°, d 2.878, rel. 69, hkl 1 2 1
- 33.00°, d 2.714, rel. 45, hkl 1 0 3
- 32.51°, d 2.754, rel. 43, hkl 0 4 0
- 57.06°, d 1.614, rel. 30, hkl 0 0 8
- 62.74°, d 1.481, rel. 30, hkl 2 2 4
- 47.00°, d 1.933, rel. 29, hkl 1 4 3
- 59.03°, d 1.565, rel. 23, hkl 1 2 7
- 35.45°, d 2.532, rel. 17, hkl 1 3 0
- 57.76°, d 1.596, rel. 14, hkl 0 6 4

Structure:
Unit cell a=3.496 b=11.017 c=12.918 alpha=90.00 beta=90.00 gamma=90.00
Space group Immm (No. 71)
Symmetry-distinct sites (fractional):
Sm  0.000  0.000  0.000
Er  0.000  0.229  0.367
Er  0.000  0.500  0.000
Er  0.000  0.500  0.258

# 3
Theoretical X-ray diffraction stick pattern of VCo4Ni3 for Cu Kα X-rays, from the PBE geometry in Alexandria.
Intensities are scaled so that the largest is 100.

Most intense lines, 10 to 80 degrees two-theta, by intensity:
- 45.20°, d 2.006, rel. 100, hkl 0 2 4
- 43.49°, d 2.081, rel. 57, hkl 1 1 2
- 44.65°, d 2.029, rel. 54, hkl 0 4 0
- 44.50°, d 2.036, rel. 36, hkl 1 2 1
- 54.46°, d 1.685, rel. 28, hkl 1 3 2
- 53.01°, d 1.727, rel. 22, hkl 1 2 3
- 38.24°, d 2.354, rel. 14, hkl 1 0 1
- 72.99°, d 1.296, rel. 11, hkl 1 5 2
- 47.64°, d 1.909, rel. 11, hkl 1 0 3
- 73.79°, d 1.284, rel. 9, hkl 1 1 6

Structure:
Unit cell a=2.434 b=8.117 c=9.232 alpha=90.00 beta=90.00 gamma=90.00
Space group Immm (No. 71)
Symmetry-distinct sites (fractional):
V  0.000  0.000  0.000
Co  0.000  0.252  0.130
Ni  0.000  0.000  0.500
Ni  0.000  0.500  0.264